This entry pairs a crystal structure of SmGa4Pd3 with its simulated XRD peak list. Radiation: CuKα. Structure: a GGA-PBE-relaxed structure.
No peak broadening, texture or thermal motion is included.

Top 6 peaks for 2θ = 15–90°, sorted by position:
d 2.961, 30.2°, intensity 100, (1 0 2); d 2.856, 31.3°, intensity 60, (1 1 1); d 2.441, 36.8°, intensity 55, (1 1 2); d 2.156, 41.9°, intensity 97, (2 0 0); d 2.028, 44.7°, intensity 58, (1 1 3); d 1.743, 52.5°, intensity 42, (2 1 2)

Structure:
Unit cell a=4.313 b=4.313 c=8.146 alpha=90.00 beta=90.00 gamma=90.00
Space group P4/mmm (No. 123)
Unique sites:
Sm 0.000 0.000 0.000 (multiplicity 1)
Ga 0.000 0.500 0.323 (multiplicity 4)
Pd 0.000 0.000 0.500 (multiplicity 1)
Pd 0.500 0.500 0.161 (multiplicity 2)